1.
Theoretical X-ray powder pattern
Compound: LiAcZnAu
Radiation: Cu Ka
Structure: a crystal structure in Alexandria, relaxed with PBE
Kinematic intensities with the Lorentz-polarization factor, no thermal factor.

Structure:
abc: 7.939 4.601 5.897
angles: 90.00 117.04 90.00
Space group Cm (No. 8)
Symmetry-distinct sites (fractional):
1 Li 0.000 0.000 0.000
2 Ac 0.492 0.000 0.476
3 Zn 0.288 0.000 0.866
4 Au 0.194 0.500 0.081

Most intense lines, 2θ = 10–80°, in order of falling intensity:
- (2 0 -1), 2θ = 23.07°, I 100
- (1 1 -2), 2θ = 36.30°, I 49
- (3 1 -1), 2θ = 39.27°, I 42
- (1 1 1), 2θ = 32.02°, I 35
- (2 0 1), 2θ = 36.52°, I 24
- (0 2 0), 2θ = 39.16°, I 21


2.
Theoretical X-ray powder pattern
Compound: AcLuPbAu
Radiation: Cu Ka
Structure: a crystal structure in Alexandria, relaxed with PBE
Kinematic intensities with the Lorentz-polarization factor, no thermal factor.

Structure:
abc: 7.747 7.747 7.747
angles: 90.00 90.00 90.00
Space group F-43m (No. 216)
Symmetry-distinct sites (fractional):
1 Ac 0.000 0.000 0.000
2 Lu 0.000 0.000 0.500
3 Pb 0.250 0.250 0.250
4 Au 0.250 0.250 0.750

Most intense lines, 2θ = 10–80°, in order of falling intensity:
- (2 2 0), 2θ = 32.69°, I 100
- (4 2 2), 2θ = 58.35°, I 39
- (4 0 0), 2θ = 46.91°, I 19
- (6 2 0), 2θ = 78.01°, I 17
- (4 4 0), 2θ = 68.52°, I 12
- (1 1 1), 2θ = 19.85°, I 1


3.
Theoretical X-ray powder pattern
Compound: AcMgAu11
Radiation: Cu Ka
Structure: a crystal structure in Alexandria, relaxed with PBE
Kinematic intensities with the Lorentz-polarization factor, no thermal factor.

Structure:
abc: 5.636 13.170 7.546
angles: 90.00 111.71 90.00
Space group C2/m (No. 12)
Symmetry-distinct sites (fractional):
1 Ac 0.000 0.000 0.000
2 Mg 0.000 0.500 0.500
3 Au 0.000 0.000 0.500
4 Au 0.102 0.392 0.222
5 Au 0.181 0.173 0.348
6 Au 0.250 0.250 0.000

Most intense lines, 2θ = 10–80°, in order of falling intensity:
- (2 2 0), 2θ = 36.99°, I 100
- (0 4 2), 2θ = 37.48°, I 99
- (1 5 0), 2θ = 38.26°, I 81
- (1 3 -2), 2θ = 32.18°, I 79
- (1 1 2), 2θ = 36.38°, I 64
- (2 4 -1), 2θ = 42.21°, I 54


4.
Theoretical X-ray powder pattern
Compound: AcMg4Au2
Radiation: Cu Ka
Structure: a crystal structure in Alexandria, relaxed with PBE
Kinematic intensities with the Lorentz-polarization factor, no thermal factor.

Structure:
abc: 8.537 8.537 4.497
angles: 90.00 90.00 90.00
Space group P4_2/mnm (No. 136)
Symmetry-distinct sites (fractional):
1 Ac 0.000 0.000 0.000
2 Mg 0.086 0.338 0.500
3 Au 0.219 0.781 0.500

Most intense lines, 2θ = 10–80°, in order of falling intensity:
- (2 1 1), 2θ = 30.72°, I 100
- (1 1 1), 2θ = 24.69°, I 91
- (2 2 0), 2θ = 29.60°, I 75
- (3 1 1), 2θ = 38.91°, I 70
- (1 1 0), 2θ = 14.67°, I 46
- (3 0 1), 2θ = 37.40°, I 44


5.
Theoretical X-ray powder pattern
Compound: Ac3Mg2Au9
Radiation: Cu Ka
Structure: a crystal structure in Alexandria, relaxed with PBE
Kinematic intensities with the Lorentz-polarization factor, no thermal factor.

Structure:
abc: 4.634 10.057 14.225
angles: 90.00 90.00 90.00
Space group Immm (No. 71)
Symmetry-distinct sites (fractional):
1 Ac 0.000 0.000 0.000
2 Ac 0.000 0.000 0.286
3 Mg 0.000 0.182 0.500
4 Au 0.000 0.293 0.132
5 Au 0.000 0.361 0.349
6 Au 0.000 0.500 0.000

Most intense lines, 2θ = 10–80°, in order of falling intensity:
- (1 3 0), 2θ = 32.98°, I 100
- (1 2 3), 2θ = 32.35°, I 59
- (0 2 4), 2θ = 30.80°, I 55
- (2 0 0), 2θ = 38.87°, I 45
- (1 4 7), 2θ = 62.05°, I 37
- (1 4 1), 2θ = 41.35°, I 29


6.
Theoretical X-ray powder pattern
Compound: AcMg4Au4
Radiation: Cu Ka
Structure: a crystal structure in Alexandria, relaxed with PBE
Kinematic intensities with the Lorentz-polarization factor, no thermal factor.

Structure:
abc: 6.882 6.882 8.730
angles: 90.00 90.00 90.00
Space group P4_2/nmc (No. 137, origin choice 2)
Symmetry-distinct sites (fractional):
1 Ac 0.250 0.750 0.250
2 Mg 0.002 0.250 0.133
3 Au 0.043 0.250 0.444

Most intense lines, 2θ = 10–80°, in order of falling intensity:
- (2 0 1), 2θ = 27.87°, I 100
- (2 1 1), 2θ = 30.81°, I 70
- (2 2 2), 2θ = 42.54°, I 45
- (1 0 3), 2θ = 33.43°, I 42
- (1 1 2), 2θ = 27.45°, I 40
- (3 0 3), 2θ = 50.67°, I 38


7.
Theoretical X-ray powder pattern
Compound: Ac2Mg16Au
Radiation: Cu Ka
Structure: a crystal structure in Alexandria, relaxed with PBE
Kinematic intensities with the Lorentz-polarization factor, no thermal factor.

Structure:
abc: 10.3601 10.3601 15.2482
angles: 90.00 90.00 120.00
Space group R3m (No. 160, hexagonal axes)
Symmetry-distinct sites (fractional):
1 Ac 0.0000 0.0000 0.0000
2 Ac 0.0000 0.0000 0.3360
3 Mg 0.0000 0.0000 0.7492
4 Mg 0.9997 0.2951 0.6670
5 Mg 0.0021 0.5010 0.8217
6 Mg 0.0120 0.5060 0.1675
7 Mg 0.1677 0.3354 0.8473
8 Au 0.0000 0.0000 0.5590

Most intense lines, 2θ = 10–80°, in order of falling intensity:
- (1 1 0), 2θ = 17.12°, I 100
- (3 0 0), 2θ = 29.88°, I 54
- (1 1 3), 2θ = 24.54°, I 50
- (2 2 0), 2θ = 34.63°, I 49
- (3 0 3), 2θ = 34.81°, I 46
- (0 1 2), 2θ = 15.25°, I 27


8.
Theoretical X-ray powder pattern
Compound: Ac2MgAu7
Radiation: Cu Ka
Structure: a crystal structure in Alexandria, relaxed with PBE
Kinematic intensities with the Lorentz-polarization factor, no thermal factor.

Structure:
abc: 4.217 4.217 13.287
angles: 90.00 90.00 90.00
Space group P-4m2 (No. 115)
Symmetry-distinct sites (fractional):
1 Ac 0.000 0.500 0.242
2 Mg 0.000 0.000 0.500
3 Au 0.000 0.000 0.000
4 Au 0.000 0.500 0.644
5 Au 0.000 0.500 0.855
6 Au 0.500 0.500 0.000
7 Au 0.500 0.500 0.500

Most intense lines, 2θ = 10–80°, in order of falling intensity:
- (1 1 2), 2θ = 32.92°, I 100
- (1 0 5), 2θ = 40.11°, I 56
- (2 0 0), 2θ = 42.89°, I 54
- (1 0 3), 2θ = 29.24°, I 52
- (2 1 5), 2θ = 60.17°, I 35
- (1 1 4), 2θ = 40.67°, I 34


9.
Theoretical X-ray powder pattern
Compound: Ac3MgAu4
Radiation: Cu Ka
Structure: a crystal structure in Alexandria, relaxed with PBE
Kinematic intensities with the Lorentz-polarization factor, no thermal factor.

Structure:
abc: 4.360 7.131 15.651
angles: 90.00 90.00 90.00
Space group Immm (No. 71)
Symmetry-distinct sites (fractional):
1 Ac 0.000 0.000 0.000
2 Ac 0.000 0.500 0.197
3 Mg 0.000 0.000 0.500
4 Au 0.000 0.290 0.379

Most intense lines, 2θ = 10–80°, in order of falling intensity:
- (1 2 1), 2θ = 32.95°, I 100
- (1 0 5), 2θ = 35.30°, I 93
- (1 1 2), 2θ = 26.53°, I 82
- (0 2 4), 2θ = 34.02°, I 70
- (0 1 3), 2θ = 21.11°, I 52
- (1 2 3), 2θ = 36.84°, I 42


10.
Theoretical X-ray powder pattern
Compound: AcMg6Au4
Radiation: Cu Ka
Structure: a crystal structure in Alexandria, relaxed with PBE
Kinematic intensities with the Lorentz-polarization factor, no thermal factor.

Structure:
abc: 8.0326 8.0326 4.2856
angles: 90.00 90.00 120.00
Space group P-6m2 (No. 187)
Symmetry-distinct sites (fractional):
1 Ac 0.0000 0.0000 0.0000
2 Mg 0.2047 0.4095 0.5000
3 Mg 0.5352 0.0704 0.0000
4 Au 0.3333 0.6667 0.0000
5 Au 0.3825 0.1912 0.5000

Most intense lines, 2θ = 10–80°, in order of falling intensity:
- (1 1 1), 2θ = 30.50°, I 100
- (2 0 0), 2θ = 25.61°, I 83
- (2 0 1), 2θ = 33.17°, I 74
- (1 0 1), 2θ = 24.39°, I 70
- (3 0 1), 2θ = 44.42°, I 60
- (2 1 0), 2θ = 34.10°, I 48


11.
Theoretical X-ray powder pattern
Compound: AcMgZn2Au4
Radiation: Cu Ka
Structure: a crystal structure in Alexandria, relaxed with PBE
Kinematic intensities with the Lorentz-polarization factor, no thermal factor.

Structure:
abc: 4.5650 4.5650 27.6635
angles: 90.00 90.00 120.00
Space group R-3m (No. 166, hexagonal axes)
Symmetry-distinct sites (fractional):
1 Ac 0.0000 0.0000 0.0000
2 Mg 0.0000 0.0000 0.5000
3 Zn 0.0000 0.0000 0.2361
4 Au 0.0000 0.0000 0.1291
5 Au 0.0000 0.0000 0.4007

Most intense lines, 2θ = 10–80°, in order of falling intensity:
- (1 1 0), 2θ = 39.48°, I 100
- (0 1 8), 2θ = 34.46°, I 75
- (1 0 7), 2θ = 32.02°, I 41
- (0 1 5), 2θ = 27.73°, I 30
- (1 1 15), 2θ = 65.02°, I 23
- (1 0 4), 2θ = 25.96°, I 23


12.
Theoretical X-ray powder pattern
Compound: Ac2Mg4ZnAu3
Radiation: Cu Ka
Structure: a crystal structure in Alexandria, relaxed with PBE
Kinematic intensities with the Lorentz-polarization factor, no thermal factor.

Structure:
abc: 4.634 4.634 11.370
angles: 90.00 90.00 90.00
Space group P-4m2 (No. 115)
Symmetry-distinct sites (fractional):
1 Ac 0.000 0.500 0.237
2 Mg 0.000 0.000 0.500
3 Mg 0.000 0.500 0.878
4 Mg 0.500 0.500 0.500
5 Zn 0.500 0.500 0.000
6 Au 0.000 0.000 0.000
7 Au 0.000 0.500 0.639

Most intense lines, 2θ = 10–80°, in order of falling intensity:
- (1 1 2), 2θ = 31.51°, I 100
- (1 0 3), 2θ = 30.47°, I 71
- (2 0 0), 2θ = 38.87°, I 60
- (1 0 2), 2θ = 24.79°, I 47
- (1 0 5), 2θ = 44.38°, I 41
- (2 1 3), 2θ = 50.17°, I 36


13.
Theoretical X-ray powder pattern
Compound: AcMgZn2Au
Radiation: Cu Ka
Structure: a crystal structure in Alexandria, relaxed with PBE
Kinematic intensities with the Lorentz-polarization factor, no thermal factor.

Structure:
abc: 4.262 4.344 12.383
angles: 90.00 90.00 90.00
Space group Imm2 (No. 44)
Symmetry-distinct sites (fractional):
1 Ac 0.000 0.000 0.000
2 Mg 0.000 0.500 0.751
3 Zn 0.000 0.000 0.615
4 Zn 0.000 0.500 0.247
5 Au 0.000 0.000 0.393

Most intense lines, 2θ = 10–80°, in order of falling intensity:
- (1 1 2), 2θ = 32.80°, I 100
- (1 1 0), 2θ = 29.36°, I 66
- (0 1 3), 2θ = 29.86°, I 62
- (0 0 2), 2θ = 14.30°, I 50
- (1 0 3), 2θ = 30.14°, I 49
- (1 0 5), 2θ = 42.20°, I 39